Ag4Ge2Se5Cl: calculated PXRD pattern (copper Kα), based on a crystal structure in Alexandria, relaxed with PBE.

Largest 10 diffraction maxima, low angle first, 2θ = 5–70°:
two_theta	d/Å	Rel. int.
26.74	3.334	83
28.24	3.160	86
30.80	2.903	13
36.20	2.481	15
39.50	2.282	100
46.94	1.936	14
47.77	1.904	36
47.97	1.896	78
55.75	1.649	17
56.07	1.640	12

Crystal structure
a = 7.5880 Å, b = 6.6691 Å, c = 6.6691 Å
α = 121.09°, β = 90.00°, γ = 90.00°
Sites, in units of the cell vectors:
Ag 0.0000 0.1900 0.8100
Ag 0.0000 0.8100 0.1900
Ag 0.2860 0.4967 0.4967
Ag 0.7140 0.4967 0.4967
Ge 0.5000 0.1848 0.8008
Ge 0.5000 0.8008 0.1848
Se 0.2600 0.5190 0.8996
Se 0.2600 0.8996 0.5190
Se 0.5000 0.1718 0.1718
Se 0.7400 0.5190 0.8996
Se 0.7400 0.8996 0.5190
Cl 0.0000 0.2311 0.2311